Entry 1:
Rb2CuMoCl6: simulated powder XRD pattern (CuKα), based on a DFT-relaxed cell (GGA-PBE, the Materials Project).
No peak broadening, texture or thermal motion is included.

Structural model:
```
10
Lattice="0.000 5.039 5.039 5.039 0.000 5.039 5.039 5.039 0.000" Properties=species:S:1:pos:R:3 pbc="T T T"
Rb 2.520 2.520 2.520
Rb 7.559 7.559 7.559
Cu 0.000 0.000 0.000
Mo 5.039 5.039 5.039
Cl 5.039 5.039 2.553
Cl 5.039 2.553 5.039
Cl 7.526 5.039 5.039
Cl 2.553 5.039 5.039
Cl 5.039 7.526 5.039
Cl 5.039 5.039 7.526
```

Most intense lines, 5° ≤ 2θ ≤ 70°, sorted by position:
- 2θ = 15.23°, I = 4
- 2θ = 17.60°, I = 9
- 2θ = 24.99°, I = 100
- 2θ = 30.73°, I = 28
- 2θ = 35.63°, I = 85
- 2θ = 40.01°, I = 3
- 2θ = 44.01°, I = 44
- 2θ = 51.28°, I = 55
- 2θ = 57.86°, I = 20
- 2θ = 60.98°, I = 9
- 2θ = 64.00°, I = 18
- 2θ = 69.83°, I = 22

Entry 2:
Cu2N5Cl8: simulated powder XRD pattern (CuKα), based on a DFT-relaxed cell (GGA-PBE, the Materials Project).
No peak broadening, texture or thermal motion is included.

Structural model:
```
30
Lattice="-3.270 3.270 13.322 3.270 -3.270 13.322 3.270 3.270 -13.322" Properties=species:S:1:pos:R:3 pbc="T T T"
Cu 0.000 0.000 0.000
Cu 3.270 0.000 6.661
Cu 0.000 0.000 13.322
Cu 0.000 3.270 6.661
N 4.550 1.280 -3.323
N 1.280 1.990 -3.323
N 0.000 0.000 6.661
N 4.550 1.280 3.323
N 1.280 1.990 3.323
N 1.990 1.280 9.998
N -1.280 1.990 9.998
N 0.000 0.000 19.983
N 1.990 1.280 16.645
N -1.280 1.990 16.645
Cl 4.538 1.268 -4.983
Cl 0.000 0.000 2.936
Cl 1.268 2.002 -4.983
Cl 4.891 1.621 0.000
Cl 1.621 1.649 0.000
Cl 4.538 1.268 4.983
Cl 0.000 0.000 10.386
Cl 1.268 2.002 4.983
Cl 2.002 1.268 8.338
Cl 0.000 0.000 16.257
Cl -1.268 2.002 8.338
Cl 1.649 1.621 13.322
Cl -1.621 1.649 13.322
Cl 2.002 1.268 18.305
Cl 0.000 0.000 23.708
Cl -1.268 2.002 18.305
```

Most intense lines, 5° ≤ 2θ ≤ 70°, sorted by position:
- 2θ = 6.64°, I = 15
- 2θ = 13.29°, I = 25
- 2θ = 20.00°, I = 20
- 2θ = 20.33°, I = 100
- 2θ = 26.77°, I = 21
- 2θ = 32.22°, I = 29
- 2θ = 34.05°, I = 48
- 2θ = 38.58°, I = 33
- 2θ = 38.97°, I = 90
- 2θ = 43.79°, I = 16
- 2θ = 47.88°, I = 22
- 2θ = 56.31°, I = 23

Entry 3:
Cu3N4Cl4O: simulated powder XRD pattern (CuKα), based on a DFT-relaxed cell (GGA-PBE, the Materials Project).
No peak broadening, texture or thermal motion is included.

Structural model:
```
12
Lattice="-4.729 4.729 2.536 4.729 -4.729 2.536 4.729 4.729 -2.536" Properties=species:S:1:pos:R:3 pbc="T T T"
Cu 0.000 0.000 0.000
Cu 4.729 0.000 1.268
Cu 0.000 4.729 1.268
N 1.338 1.338 0.000
N 3.391 -3.391 2.536
N -3.391 3.391 2.536
N 3.391 3.391 2.536
Cl 4.729 1.859 0.000
Cl 1.859 4.729 0.000
Cl 2.870 0.000 2.536
Cl 0.000 2.870 2.536
O 0.000 0.000 2.536
```

Most intense lines, 5° ≤ 2θ ≤ 70°, sorted by position:
- 2θ = 13.24°, I = 24
- 2θ = 18.77°, I = 100
- 2θ = 26.66°, I = 10
- 2θ = 27.46°, I = 48
- 2θ = 33.47°, I = 15
- 2θ = 37.94°, I = 25
- 2θ = 38.06°, I = 21
- 2θ = 42.76°, I = 17
- 2θ = 44.85°, I = 10
- 2θ = 46.97°, I = 35
- 2θ = 54.85°, I = 36
- 2θ = 55.36°, I = 12

Entry 4:
Na2NdCuCl6: simulated powder XRD pattern (CuKα), based on a DFT-relaxed cell (GGA-PBE, the Materials Project).
No peak broadening, texture or thermal motion is included.

Structural model:
```
10
Lattice="0.000 5.213 5.213 5.213 0.000 5.213 5.213 5.213 0.000" Properties=species:S:1:pos:R:3 pbc="T T T"
Na 2.606 2.606 2.606
Na 7.819 7.819 7.819
Nd 0.000 0.000 0.000
Cu 5.213 5.213 5.213
Cl 5.213 5.213 2.708
Cl 5.213 2.708 5.213
Cl 7.718 5.213 5.213
Cl 2.708 5.213 5.213
Cl 5.213 7.718 5.213
Cl 5.213 5.213 7.718
```

Most intense lines, 5° ≤ 2θ ≤ 70°, sorted by position:
- 2θ = 14.72°, I = 11
- 2θ = 17.01°, I = 100
- 2θ = 24.14°, I = 53
- 2θ = 28.39°, I = 12
- 2θ = 34.41°, I = 67
- 2θ = 38.62°, I = 47
- 2θ = 42.48°, I = 25
- 2θ = 49.45°, I = 44
- 2θ = 52.68°, I = 23
- 2θ = 55.76°, I = 12
- 2θ = 61.63°, I = 14
- 2θ = 67.19°, I = 13